Theoretical powder XRD pattern of KTeO2F for Cu Ka, from a DFT-relaxed cell (PBE, Alexandria).
Peak positions follow from Bragg's law for the DFT cell and can differ from measured ones.

Cell and atoms:
Cell: 6.3477 15.2031 13.3017 Å, 90.00 114.26 90.00°
Fractional positions:
K 0.1613 0.1844 0.3706
K 0.1613 0.3156 0.8706
K 0.2138 0.6850 0.4850
K 0.2138 0.8150 0.9850
K 0.3310 0.0701 0.1007
K 0.3310 0.4299 0.6007
K 0.6690 0.5701 0.3993
K 0.6690 0.9299 0.8993
K 0.7862 0.1850 0.0150
K 0.7862 0.3150 0.5150
K 0.8387 0.6844 0.1294
K 0.8387 0.8156 0.6294
Te 0.0811 0.0517 0.7840
Te 0.0811 0.4483 0.2840
Te 0.3223 0.5366 0.0970
Te 0.3223 0.9634 0.5970
Te 0.4210 0.1874 0.6995
Te 0.4210 0.3126 0.1995
Te 0.5790 0.6874 0.8005
Te 0.5790 0.8126 0.3005
Te 0.6777 0.0366 0.4030
Te 0.6777 0.4634 0.9030
Te 0.9189 0.5517 0.7160
Te 0.9189 0.9483 0.2160
O 0.1617 0.5219 0.4038
O 0.1617 0.9781 0.9038
O 0.1706 0.2425 0.1791
O 0.1706 0.2575 0.6791
O 0.1911 0.5497 0.2040
O 0.1911 0.9503 0.7040
O 0.2618 0.0997 0.5860
O 0.2618 0.4003 0.0860
O 0.3655 0.0275 0.3140
O 0.3655 0.4725 0.8140
O 0.3802 0.1098 0.8220
O 0.3802 0.3902 0.3220
O 0.6198 0.6098 0.6780
O 0.6198 0.8902 0.1780
O 0.6345 0.5275 0.1860
O 0.6345 0.9725 0.6860
O 0.7382 0.5997 0.9140
O 0.7382 0.9003 0.4140
O 0.8089 0.0497 0.2960
O 0.8089 0.4503 0.7960
O 0.8294 0.7425 0.3209
O 0.8294 0.7575 0.8209
O 0.8383 0.0219 0.0962
O 0.8383 0.4781 0.5962
F 0.0041 0.1494 0.8806
F 0.0041 0.3506 0.3806
F 0.3520 0.6763 0.1118
F 0.3520 0.8237 0.6118
F 0.4605 0.2401 0.0700
F 0.4605 0.2599 0.5700
F 0.5395 0.7401 0.4300
F 0.5395 0.7599 0.9300
F 0.6480 0.1763 0.3882
F 0.6480 0.3237 0.8882
F 0.9959 0.6494 0.6194
F 0.9959 0.8506 0.1194

Main lines, in order of falling intensity (2θ from 5° to 70°):
d 3.259, 27.4°, I = 100, (1 4 -1); d 3.164, 28.2°, I = 66, (2 0 -2); d 4.356, 20.4°, I = 63, (1 1 1); d 3.027, 29.5°, I = 45, (1 2 -4); d 3.569, 24.9°, I = 33, (0 2 3); d 3.434, 25.9°, I = 30, (1 1 2); d 6.064, 14.6°, I = 25, (0 0 2); d 3.198, 27.9°, I = 24, (1 2 2); d 6.441, 13.7°, I = 23, (0 2 1); d 2.147, 42.1°, I = 22, (0 6 3)